(1)
# LiSn
Computed X-ray powder pattern, Cu Kα (weighted mean of Kα1 and Kα2). Input: DFT lattice parameters and positions (PBE).
No peak broadening, texture or thermal motion is included.

Top 10 peaks for 10° ≤ 2θ ≤ 90°, sorted by position:
d = 8.685 Å, 2θ = 10.2°, I 100; d = 6.141 Å, 2θ = 14.4°, I 27; d = 3.917 Å, 2θ = 22.7°, I 32; d = 3.884 Å, 2θ = 22.9°, I 48; d = 3.087 Å, 2θ = 28.9°, I 91; d = 2.543 Å, 2θ = 35.3°, I 36; d = 2.516 Å, 2θ = 35.7°, I 27; d = 2.417 Å, 2θ = 37.2°, I 93; d = 2.409 Å, 2θ = 37.3°, I 37; d = 1.749 Å, 2θ = 52.3°, I 28

Structure:
Unit cell a=8.685 b=8.685 c=5.086 alpha=90.00 beta=90.00 gamma=90.00
Space group P4/m (No. 83)
Asymmetric unit:
Li 0.065 0.270 0.000 (multiplicity 4)
Li 0.118 0.763 0.500 (multiplicity 4)
Sn 0.156 0.429 0.500 (multiplicity 4)
Sn 0.264 0.600 0.000 (multiplicity 4)


(2)
# Pm2Sm2YEr
Computed X-ray powder pattern, Cu Kα (weighted mean of Kα1 and Kα2). Input: DFT lattice parameters and positions (PBE).
No peak broadening, texture or thermal motion is included.

Top 10 peaks for 10° ≤ 2θ ≤ 90°, sorted by position:
d = 2.874 Å, 2θ = 31.1°, I 85; d = 2.843 Å, 2θ = 31.5°, I 100; d = 2.217 Å, 2θ = 40.7°, I 19; d = 2.021 Å, 2θ = 44.8°, I 31; d = 1.647 Å, 2θ = 55.8°, I 32; d = 1.641 Å, 2θ = 56.0°, I 19; d = 1.503 Å, 2θ = 61.7°, I 29; d = 1.422 Å, 2θ = 65.7°, I 12; d = 1.274 Å, 2θ = 74.5°, I 13; d = 1.204 Å, 2θ = 79.7°, I 14

Structure:
Unit cell a=7.080 b=5.684 c=9.853 alpha=90.00 beta=90.00 gamma=90.00
Space group Pmma (No. 51)
Asymmetric unit:
Pm 0.250 0.000 0.160 (multiplicity 2)
Pm 0.250 0.500 0.672 (multiplicity 2)
Sm 0.000 0.500 0.000 (multiplicity 2)
Sm 0.250 0.000 0.824 (multiplicity 2)
Y 0.000 0.000 0.500 (multiplicity 2)
Er 0.250 0.500 0.340 (multiplicity 2)


(3)
# LiAg2BiO4
Computed X-ray powder pattern, Cu Kα (weighted mean of Kα1 and Kα2). Input: DFT lattice parameters and positions (PBE).
No peak broadening, texture or thermal motion is included.

Top 10 peaks for 10° ≤ 2θ ≤ 90°, sorted by position:
d = 4.567 Å, 2θ = 19.4°, I 31; d = 4.528 Å, 2θ = 19.6°, I 15; d = 3.740 Å, 2θ = 23.8°, I 20; d = 2.883 Å, 2θ = 31.0°, I 100; d = 2.645 Å, 2θ = 33.9°, I 29; d = 2.286 Å, 2θ = 39.4°, I 23; d = 1.870 Å, 2θ = 48.7°, I 17; d = 1.720 Å, 2θ = 53.3°, I 26; d = 1.569 Å, 2θ = 58.9°, I 31; d = 1.120 Å, 2θ = 86.9°, I 11

Structure:
Unit cell a=5.289 b=5.289 c=9.055 alpha=90.00 beta=90.00 gamma=90.00
Space group I-4 (No. 82)
Asymmetric unit:
Li 0.000 0.000 0.000 (multiplicity 2)
Ag 0.000 0.000 0.500 (multiplicity 2)
Ag 0.000 0.500 0.250 (multiplicity 2)
Bi 0.000 0.500 0.750 (multiplicity 2)
O 0.201 0.244 0.879 (multiplicity 8)


(4)
# Tb3PuO7
Computed X-ray powder pattern, Cu Kα (weighted mean of Kα1 and Kα2). Input: DFT lattice parameters and positions (PBE).
No peak broadening, texture or thermal motion is included.

Top 10 peaks for 10° ≤ 2θ ≤ 90°, sorted by position:
d = 3.137 Å, 2θ = 28.5°, I 100; d = 3.102 Å, 2θ = 28.8°, I 97; d = 2.701 Å, 2θ = 33.2°, I 71; d = 1.928 Å, 2θ = 47.1°, I 17; d = 1.910 Å, 2θ = 47.6°, I 60; d = 1.895 Å, 2θ = 48.0°, I 14; d = 1.637 Å, 2θ = 56.2°, I 30; d = 1.630 Å, 2θ = 56.5°, I 14; d = 1.625 Å, 2θ = 56.6°, I 13; d = 1.622 Å, 2θ = 56.7°, I 27

Structure:
Unit cell a=7.581 b=10.792 c=7.710 alpha=90.00 beta=90.00 gamma=90.00
Space group Cmcm (No. 63)
Asymmetric unit:
Tb 0.000 0.000 0.000 (multiplicity 4)
Tb 0.232 0.265 0.250 (multiplicity 8)
Pu 0.000 0.500 0.000 (multiplicity 4)
O 0.000 0.133 0.750 (multiplicity 4)
O 0.000 0.134 0.250 (multiplicity 4)
O 0.000 0.408 0.250 (multiplicity 4)
O 0.210 0.375 0.530 (multiplicity 16)